The following is a calculated X-ray powder pattern of Ti4BeNi. It was derived from a crystal structure in Alexandria, relaxed with PBE, using Cu Kα.
Lines closer than 0.1° are merged.

Atomic structure:
a b c (Å): 6.1984 6.1984 4.5455
angles (deg): 90.00 90.00 90.00
Atoms (fractional coordinates):
1 Ti 0.1564 0.3436 0.2500
2 Ti 0.1564 0.6564 0.7500
3 Ti 0.3436 0.1564 0.7500
4 Ti 0.3436 0.8436 0.2500
5 Ti 0.6564 0.1564 0.2500
6 Ti 0.6564 0.8436 0.7500
7 Ti 0.8436 0.3436 0.7500
8 Ti 0.8436 0.6564 0.2500
9 Be 0.0000 0.0000 0.5000
10 Be 0.5000 0.5000 0.0000
11 Ni 0.0000 0.0000 0.0000
12 Ni 0.5000 0.5000 0.5000

Largest 10 diffraction maxima, sorted by position, 2θ = 10–80°:
- d = 3.666 Å, rel. 23
- d = 2.367 Å, rel. 100
- d = 2.191 Å, rel. 8
- d = 2.018 Å, rel. 21
- d = 1.960 Å, rel. 34
- d = 1.833 Å, rel. 18
- d = 1.427 Å, rel. 11
- d = 1.330 Å, rel. 13
- d = 1.280 Å, rel. 10
- d = 1.229 Å, rel. 13